For Sr3Fe2Cl2O4, a structure optimized by DFT (PBE+U) gives the computed XRD peak list in this record (Cu Kα X-rays).

Structure:
```
data_Sr3Fe2Cl2O4
_symmetry_space_group_name_H-M 'I 4/m m m'
_symmetry_Int_Tables_number 139
_symmetry_space_group_name_Hall '-I 4 2'
_cell_length_a 4.069
_cell_length_b 4.069
_cell_length_c 22.322
_cell_angle_alpha 90.00
_cell_angle_beta 90.00
_cell_angle_gamma 90.00
loop_
_atom_site_label
_atom_site_fract_x
_atom_site_fract_y
_atom_site_fract_z
Sr1 0.000 0.000 0.000
Sr2 0.000 0.000 0.151
Fe1 0.000 0.000 0.434
Cl1 0.000 0.000 0.299
O1 0.000 0.500 0.076
```

Main lines, sorted by position (2θ = 5–70°):
2θ (°)	I/Imax
7.92	40
31.08	60
35.78	100
39.60	20
44.54	38
58.38	52